Record 1
# PrLuZn
Simulated powder XRD pattern, Cu Ka. Input: a cell relaxed with PBE.

Structural model:
a b c (Å): 4.9024 4.9024 4.9024
angles (deg): 60.00 60.00 60.00
Positions (direct):
Pr1 0.0000 0.0000 0.0000
Lu1 0.2500 0.2500 0.2500
Zn1 0.5000 0.5000 0.5000

Peak list (6 most intense, 5° ≤ 2θ ≤ 70°, low angle first)
2θ = 22.21°, I 56; 2θ = 36.66°, I 100; 2θ = 43.28°, I 30; 2θ = 52.82°, I 17; 2θ = 57.98°, I 13; 2θ = 66.01°, I 35

***

Record 2
# NdPO4
Simulated powder XRD pattern, Cu Ka. Input: a cell relaxed with PBE.

Structural model:
a b c (Å): 7.0410 7.0410 6.3420
angles (deg): 90.00 90.00 120.00
Positions (direct):
Nd1 0.0000 0.5000 0.1667
Nd2 0.5000 0.0000 0.5000
Nd3 0.5000 0.5000 0.8333
P1 0.0000 0.5000 0.6667
P2 0.5000 0.0000 0.0000
P3 0.5000 0.5000 0.3333
O1 0.1367 0.4426 0.8164
O2 0.1367 0.6941 0.5170
O3 0.3059 0.4426 0.1836
O4 0.3059 0.8633 0.1497
O5 0.4426 0.1367 0.8503
O6 0.4426 0.3059 0.4830
O7 0.5574 0.6941 0.4830
O8 0.5574 0.8633 0.8503
O9 0.6941 0.1367 0.1497
O10 0.6941 0.5574 0.1836
O11 0.8633 0.3059 0.5170
O12 0.8633 0.5574 0.8164

Peak list (6 most intense, 5° ≤ 2θ ≤ 70°, low angle first)
2θ = 14.53°, I 100; 2θ = 20.20°, I 71; 2θ = 29.29°, I 98; 2θ = 31.81°, I 76; 2θ = 41.70°, I 39; 2θ = 48.85°, I 50

***

Record 3
# PrHoCd2Au4
Simulated powder XRD pattern, Cu Ka. Input: a cell relaxed with PBE.

Structural model:
a b c (Å): 4.9871 4.9871 7.0444
angles (deg): 90.00 90.00 90.00
Positions (direct):
Pr1 0.0000 0.0000 0.0000
Ho1 0.5000 0.5000 0.5000
Cd1 0.0000 0.0000 0.5000
Cd2 0.5000 0.5000 0.0000
Au1 0.0000 0.5000 0.2643
Au2 0.0000 0.5000 0.7357
Au3 0.5000 0.0000 0.2643
Au4 0.5000 0.0000 0.7357

Peak list (6 most intense, 5° ≤ 2θ ≤ 70°, low angle first)
2θ = 25.26°, I 4; 2θ = 36.03°, I 100; 2θ = 44.52°, I 1; 2θ = 51.88°, I 17; 2θ = 58.55°, I 2; 2θ = 64.78°, I 35

***

Record 4
# La2NdCu4Sn4
Simulated powder XRD pattern, Cu Ka. Input: a cell relaxed with PBE.

Structural model:
a b c (Å): 8.6958 8.6958 8.6958
angles (deg): 148.96 132.44 57.89
Positions (direct):
La1 0.1340 0.1340 0.0000
La2 0.8660 0.8660 0.0000
Nd1 0.5000 0.0000 0.5000
Cu1 0.1495 0.3324 0.8171
Cu2 0.4848 0.6676 0.8171
Cu3 0.5152 0.3324 0.1829
Cu4 0.8505 0.6676 0.1829
Sn1 0.2023 0.5000 0.7023
Sn2 0.2843 0.7843 0.5000
Sn3 0.7157 0.2157 0.5000
Sn4 0.7977 0.5000 0.2977

Peak list (6 most intense, 5° ≤ 2θ ≤ 70°, low angle first)
2θ = 32.06°, I 26; 2θ = 32.51°, I 97; 2θ = 32.98°, I 100; 2θ = 38.69°, I 47; 2θ = 42.58°, I 24; 2θ = 43.93°, I 26

***

Record 5
# Gd2Y3Cd3
Simulated powder XRD pattern, Cu Ka. Input: a cell relaxed with PBE.

Structural model:
a b c (Å): 6.7302 5.4270 6.7532
angles (deg): 90.00 117.46 90.00
Positions (direct):
Gd1 0.0000 0.0000 0.0000
Gd2 0.2994 0.5000 0.6886
Y1 0.4861 0.0000 0.0138
Y2 0.5011 0.0000 0.5061
Y3 0.8187 0.5000 0.2035
Cd1 0.3191 0.5000 0.1891
Cd2 0.8122 0.5000 0.6870
Cd3 0.9943 0.0000 0.5066

Peak list (6 most intense, 5° ≤ 2θ ≤ 70°, low angle first)
2θ = 31.04°, I 18; 2θ = 33.01°, I 33; 2θ = 34.23°, I 100; 2θ = 35.27°, I 29; 2θ = 45.94°, I 12; 2θ = 59.74°, I 19

***

Record 6
# Ba2Sb3Mo2
Simulated powder XRD pattern, Cu Ka. Input: a cell relaxed with PBE.

Structural model:
a b c (Å): 9.4303 9.4303 12.9611
angles (deg): 120.78 120.78 26.49
Positions (direct):
Ba1 0.1105 0.1105 0.4650
Ba2 0.2259 0.2259 0.8352
Ba3 0.7741 0.7741 0.1648
Ba4 0.8895 0.8895 0.5350
Sb1 0.1173 0.1173 0.9812
Sb2 0.3465 0.3465 0.7094
Sb3 0.4362 0.4362 0.3361
Sb4 0.5638 0.5638 0.6639
Sb5 0.6535 0.6535 0.2906
Sb6 0.8827 0.8827 0.0188
Mo1 0.0542 0.0542 0.1340
Mo2 0.4789 0.4789 0.1666
Mo3 0.5211 0.5211 0.8334
Mo4 0.9458 0.9458 0.8660

Peak list (6 most intense, 5° ≤ 2θ ≤ 70°, low angle first)
2θ = 28.15°, I 100; 2θ = 28.62°, I 91; 2θ = 30.58°, I 45; 2θ = 40.53°, I 40; 2θ = 40.81°, I 44; 2θ = 41.81°, I 59